1.
Structure and simulated powder X-ray diffraction pattern of SrCuH3ClO3 (a cell relaxed with GGA-PBE; λ = 1.5418 Å (Cu Kα)).
Intensities are scaled so that the largest is 100.

Most intense lines, 10 to 90 degrees two-theta, sorted by position:
2θ 17.32, rel. 75, (2 1 0); 2θ 18.95, rel. 60, (0 1 1); 2θ 25.88, rel. 41, (4 1 0); 2θ 29.20, rel. 47, (2 0 2); 2θ 29.25, rel. 72, (4 1 1); 2θ 30.18, rel. 67, (0 1 2); 2θ 30.67, rel. 100, (1 2 1); 2θ 30.87, rel. 59, (5 0 1); 2θ 35.12, rel. 52, (4 0 2); 2θ 43.46, rel. 41, (6 0 2)

Atomic structure:
```
SrCuH3ClO3
1.0
16.109 0.000 0.000
0.000 6.636 0.000
0.000 0.000 6.611
Sr Cu H Cl O
6 6 18 6 18
direct
0.000 0.167 0.000 Sr
0.170 0.433 0.646 Sr
0.330 0.567 0.146 Sr
0.500 0.833 0.500 Sr
0.670 0.567 0.146 Sr
0.830 0.433 0.646 Sr
0.000 0.027 0.497 Cu
0.101 0.707 0.167 Cu
0.399 0.293 0.667 Cu
0.500 0.973 0.997 Cu
0.601 0.293 0.667 Cu
0.899 0.707 0.167 Cu
0.000 0.680 0.889 H
0.127 0.001 0.704 H
0.138 0.042 0.318 H
0.160 0.378 0.092 H
0.211 0.794 0.399 H
0.289 0.206 0.899 H
0.340 0.622 0.592 H
0.362 0.958 0.818 H
0.373 0.999 0.204 H
0.500 0.320 0.389 H
0.627 0.999 0.204 H
0.638 0.958 0.818 H
0.660 0.622 0.592 H
0.711 0.206 0.899 H
0.789 0.794 0.399 H
0.840 0.378 0.092 H
0.862 0.042 0.318 H
0.873 0.001 0.704 H
0.000 0.576 0.563 Cl
0.239 0.816 0.822 Cl
0.261 0.184 0.322 Cl
0.500 0.424 0.063 Cl
0.739 0.184 0.322 Cl
0.761 0.816 0.822 Cl
0.000 0.765 0.011 O
0.084 0.986 0.279 O
0.088 0.112 0.686 O
0.114 0.447 0.024 O
0.200 0.662 0.338 O
0.300 0.338 0.838 O
0.386 0.553 0.524 O
0.412 0.888 0.186 O
0.416 0.014 0.779 O
0.500 0.235 0.511 O
0.584 0.014 0.779 O
0.588 0.888 0.186 O
0.614 0.553 0.524 O
0.700 0.338 0.838 O
0.800 0.662 0.338 O
0.886 0.447 0.024 O
0.912 0.112 0.686 O
0.916 0.986 0.279 O
```



2.
Structure and simulated powder X-ray diffraction pattern of ZnCuH3ClO3 (a cell relaxed with GGA-PBE; λ = 1.5418 Å (Cu Kα)).
Intensities are scaled so that the largest is 100.

Most intense lines, 10 to 90 degrees two-theta, sorted by position:
2θ 14.73, rel. 100, (0 0 1); 2θ 29.71, rel. 10, (0 0 2); 2θ 31.86, rel. 15, (1 2 0); 2θ 35.06, rel. 44, (1 2 -1); 2θ 35.85, rel. 19, (2 0 1); 2θ 43.79, rel. 13, (1 2 -2); 2θ 44.45, rel. 11, (1 2 2); 2θ 44.93, rel. 8, (2 0 2); 2θ 57.02, rel. 10, (3 2 0); 2θ 58.85, rel. 8, (0 4 1)

Atomic structure:
```
ZnCuH3ClO3
1.0
5.585 0.000 0.000
0.000 6.502 0.000
-0.170 0.000 6.014
Zn Cu H Cl O
2 2 6 2 6
direct
0.007 0.250 0.474 Zn
0.993 0.750 0.526 Zn
0.500 0.000 0.500 Cu
0.500 0.500 0.500 Cu
0.189 0.537 0.195 H
0.189 0.963 0.195 H
0.392 0.250 0.802 H
0.608 0.750 0.198 H
0.811 0.037 0.805 H
0.811 0.463 0.805 H
0.291 0.750 0.844 Cl
0.709 0.250 0.156 Cl
0.180 0.517 0.356 O
0.180 0.983 0.356 O
0.364 0.250 0.640 O
0.636 0.750 0.360 O
0.820 0.017 0.644 O
0.820 0.483 0.644 O
```



3.
Structure and simulated powder X-ray diffraction pattern of CuHgSeCl (a cell relaxed with GGA-PBE; λ = 1.5418 Å (Cu Kα)).
Intensities are scaled so that the largest is 100.

Most intense lines, 10 to 90 degrees two-theta, sorted by position:
2θ 13.53, rel. 46, (0 2 0); 2θ 20.89, rel. 37, (0 0 1); 2θ 24.98, rel. 100, (0 2 1); 2θ 25.75, rel. 23, (2 1 0); 2θ 32.31, rel. 66, (2 3 0); 2θ 33.39, rel. 48, (2 1 1); 2θ 38.79, rel. 52, (2 3 1); 2θ 42.53, rel. 30, (0 0 2); 2θ 48.60, rel. 25, (1 6 1); 2θ 54.40, rel. 30, (2 3 2)

Atomic structure:
```
CuHgSeCl
1.0
7.174 0.000 0.000
0.000 13.088 0.000
0.000 0.000 4.252
Cu Hg Se Cl
4 4 4 4
direct
0.249 0.042 0.000 Cu
0.251 0.542 0.000 Cu
0.749 0.458 0.000 Cu
0.751 0.958 0.000 Cu
0.106 0.763 0.500 Hg
0.394 0.263 0.500 Hg
0.606 0.737 0.500 Hg
0.894 0.237 0.500 Hg
0.168 0.111 0.500 Se
0.332 0.611 0.500 Se
0.668 0.389 0.500 Se
0.832 0.889 0.500 Se
0.147 0.381 0.000 Cl
0.353 0.881 0.000 Cl
0.647 0.119 0.000 Cl
0.853 0.619 0.000 Cl
```



4.
Structure and simulated powder X-ray diffraction pattern of Cu4I3Cl (a cell relaxed with GGA-PBE; λ = 1.5418 Å (Cu Kα)).
Intensities are scaled so that the largest is 100.

Most intense lines, 10 to 90 degrees two-theta, sorted by position:
2θ 31.89, rel. 100, (1 0 2); 2θ 32.00, rel. 50, (0 2 0); 2θ 45.62, rel. 18, (2 0 0); 2θ 45.80, rel. 88, (1 2 2); 2θ 56.81, rel. 18, (2 2 0); 2θ 56.97, rel. 18, (0 2 4); 2θ 75.88, rel. 22, (2 2 4); 2θ 76.03, rel. 15, (1 4 2); 2θ 84.49, rel. 11, (3 2 2); 2θ 84.76, rel. 17, (2 4 0)

Atomic structure:
```
Cu4I3Cl
1.0
3.977 0.000 0.000
0.000 5.594 0.000
0.000 0.000 7.922
Cu I Cl
4 3 1
direct
0.000 0.000 0.000 Cu
0.000 0.000 0.500 Cu
0.500 0.500 0.245 Cu
0.500 0.500 0.755 Cu
0.000 0.500 0.500 I
0.500 0.000 0.243 I
0.500 0.000 0.757 I
0.000 0.500 0.000 Cl
```



5.
Structure and simulated powder X-ray diffraction pattern of Na2CuI2Cl2 (a cell relaxed with GGA-PBE; λ = 1.5418 Å (Cu Kα)).
Intensities are scaled so that the largest is 100.

Most intense lines, 10 to 90 degrees two-theta, sorted by position:
2θ 13.17, rel. 90, (0 0 1); 2θ 23.57, rel. 31, (1 1 0); 2θ 26.53, rel. 94, (0 0 2); 2θ 27.10, rel. 77, (1 1 1); 2θ 33.58, rel. 100, (2 0 0); 2θ 36.21, rel. 33, (2 0 1); 2θ 43.29, rel. 96, (2 0 2); 2θ 48.22, rel. 34, (2 2 0); 2θ 55.88, rel. 43, (2 2 2); 2θ 65.67, rel. 26, (2 0 4)

Atomic structure:
```
Na2CuI2Cl2
1.0
5.338 0.000 0.000
0.000 5.338 0.000
0.000 0.000 6.720
Na Cu I Cl
2 1 2 2
direct
0.000 0.500 0.000 Na
0.500 0.000 0.000 Na
0.000 0.000 0.500 Cu
0.000 0.500 0.500 I
0.500 0.000 0.500 I
0.000 0.000 0.000 Cl
0.500 0.500 0.000 Cl
```